The following is a computed powder X-ray diffraction pattern of Si4Mo2P3. It was derived from a DFT-relaxed cell (PBE, Alexandria), using λ = 1.5418 Å (Cu Kα).
Peak positions follow from Bragg's law for the DFT cell and can differ from measured ones.

Cell and atoms:
```
Si4Mo2P3
1.0
7.849 0.000 0.000
0.000 5.557 0.000
-1.355 0.000 6.272
Si Mo P
8 4 6
direct
0.068 0.115 0.364
0.068 0.385 0.864
0.423 0.046 0.322
0.423 0.454 0.822
0.577 0.546 0.178
0.577 0.954 0.678
0.932 0.615 0.136
0.932 0.885 0.636
0.261 0.717 0.060
0.261 0.783 0.560
0.739 0.217 0.440
0.739 0.283 0.940
0.000 0.000 0.000
0.000 0.500 0.500
0.284 0.089 0.826
0.284 0.411 0.326
0.716 0.589 0.674
0.716 0.911 0.174
```

The 12 most intense peaks (2θ = 5–70°), most intense first:
32.77 deg, rel. 100; 19.73 deg, rel. 94; 38.72 deg, rel. 66; 23.19 deg, rel. 39; 40.07 deg, rel. 39; 36.91 deg, rel. 32; 46.84 deg, rel. 28; 50.70 deg, rel. 27; 43.82 deg, rel. 23; 46.68 deg, rel. 23; 44.10 deg, rel. 21; 43.50 deg, rel. 20